1.
Diffraction record for Tb3Ho4Er. The powder X-ray diffraction pattern is calculated, not measured: it uses a structure optimized by DFT (GGA-PBE) and Cu Kα (λ = 1.5418 Å).

```
Tb3Ho4Er
1.0
11.1785 0.0000 0.0000
0.0000 7.2256 0.0000
0.0000 0.0000 6.2473
Tb Ho Er
6 8 2
Direct
0.0000 0.1258 0.0000
0.2501 0.1254 0.3331
0.2499 0.8746 0.8331
0.5000 0.8742 0.5000
0.7499 0.1254 0.3331
0.7501 0.8746 0.8331
0.0000 0.3754 0.5011
0.0000 0.6239 0.9996
0.2491 0.6245 0.3332
0.2509 0.3755 0.8332
0.5000 0.3761 0.4996
0.5000 0.6246 0.0011
0.7491 0.3755 0.8332
0.7509 0.6245 0.3332
0.0000 0.8742 0.4997
0.5000 0.1258 0.9997
```

Main lines, low angle first (10 to 80 degrees two-theta):
d 3.126, 28.6°, I = 24
d 2.795, 32.0°, I = 24
d 2.728, 32.8°, I = 100
d 2.084, 43.4°, I = 15
d 1.805, 50.6°, I = 20
d 1.600, 57.6°, I = 20
d 1.516, 61.1°, I = 23
d 1.505, 61.6°, I = 17

---

2.
Diffraction record for Tb2HoEr. The powder X-ray diffraction pattern is calculated, not measured: it uses a structure optimized by DFT (GGA-PBE) and Cu Kα (λ = 1.5418 Å).

```
Tb2HoEr
1.0
6.5170 0.0000 0.0000
0.0000 13.0041 0.0000
-2.7440 0.0000 5.9100
Tb Ho Er
8 4 4
Direct
0.1250 0.0644 0.3748
0.1250 0.4356 0.8748
0.3748 0.5642 0.6245
0.3748 0.9358 0.1245
0.6252 0.0642 0.8755
0.6252 0.4358 0.3755
0.8750 0.5644 0.1252
0.8750 0.9356 0.6252
0.3752 0.6753 0.1250
0.3752 0.8247 0.6250
0.6248 0.1753 0.3750
0.6248 0.3247 0.8750
0.1250 0.1752 0.8751
0.1250 0.3248 0.3751
0.8750 0.6752 0.6249
0.8750 0.8248 0.1249
```

Main lines, low angle first (10 to 80 degrees two-theta):
d 2.882, 31.0°, I = 95
d 2.798, 32.0°, I = 100
d 2.747, 32.6°, I = 50
d 2.726, 32.9°, I = 45
d 2.442, 36.8°, I = 20
d 1.935, 47.0°, I = 33
d 1.595, 57.8°, I = 19
d 1.485, 62.5°, I = 29

---

3.
Diffraction record for Tb4Ho19Er6. The powder X-ray diffraction pattern is calculated, not measured: it uses a structure optimized by DFT (GGA-PBE) and Cu Kα (λ = 1.5418 Å).

```
Tb4Ho19Er6
1.0
-6.1750 6.1750 6.1750
6.1750 -6.1750 6.1750
6.1750 6.1750 -6.1750
Tb Ho Er
4 19 6
Direct
0.0000 0.0000 0.6425
0.0000 0.6425 0.0000
0.3575 0.3575 0.3575
0.6425 0.0000 0.0000
0.0000 0.0000 0.0000
0.0000 0.2624 0.2624
0.0000 0.7376 0.7376
0.0136 0.7997 0.3398
0.2003 0.2138 0.5400
0.2138 0.5400 0.2003
0.2624 0.0000 0.2624
0.2624 0.2624 0.0000
0.3262 0.7862 0.9864
0.3398 0.0136 0.7997
0.4600 0.6738 0.6602
0.5400 0.2003 0.2138
0.6602 0.4600 0.6738
0.6738 0.6602 0.4600
0.7376 0.0000 0.7376
0.7376 0.7376 0.0000
0.7862 0.9864 0.3262
0.7997 0.3398 0.0136
0.9864 0.3262 0.7862
0.1273 0.6273 0.5000
0.3727 0.5000 0.8727
0.5000 0.1273 0.6273
0.5000 0.8727 0.3727
0.6273 0.5000 0.1273
0.8727 0.3727 0.5000
```

Main lines, low angle first (10 to 80 degrees two-theta):
d 3.301, 27.0°, I = 48
d 3.088, 28.9°, I = 59
d 2.911, 30.7°, I = 100
d 2.521, 35.6°, I = 44
d 2.422, 37.1°, I = 74
d 1.681, 54.6°, I = 26
d 1.520, 60.9°, I = 29
d 1.498, 62.0°, I = 21

---

4.
Diffraction record for Tb2Ho9Er3. The powder X-ray diffraction pattern is calculated, not measured: it uses a structure optimized by DFT (GGA-PBE) and Cu Kα (λ = 1.5418 Å).

```
Tb2Ho9Er3
1.0
6.1499 0.0000 0.0000
0.3905 8.6306 0.0000
1.8796 1.5163 8.3253
Tb Ho Er
2 9 3
Direct
0.0470 0.0312 0.2983
0.9530 0.9688 0.7017
0.0104 0.7520 0.0817
0.1528 0.3332 0.5062
0.3106 0.3830 0.1027
0.4112 0.6868 0.3044
0.5000 0.0000 0.5000
0.5888 0.3132 0.6956
0.6894 0.6170 0.8973
0.8472 0.6668 0.4938
0.9896 0.2480 0.9183
0.2472 0.6198 0.7256
0.5000 0.0000 0.0000
0.7528 0.3802 0.2744
```

Main lines, low angle first (10 to 80 degrees two-theta):
d 2.838, 31.5°, I = 43
d 2.828, 31.6°, I = 97
d 2.814, 31.8°, I = 100
d 2.797, 32.0°, I = 51
d 2.768, 32.3°, I = 77
d 2.691, 33.3°, I = 68
d 2.629, 34.1°, I = 46
d 2.557, 35.1°, I = 56

---

5.
Diffraction record for Tb3Ho2Er5. The powder X-ray diffraction pattern is calculated, not measured: it uses a structure optimized by DFT (GGA-PBE) and Cu Kα (λ = 1.5418 Å).

```
Tb3Ho2Er5
1.0
5.2892 -7.7838 0.0000
5.2892 7.7838 0.0000
-5.2761 0.0000 7.7454
Tb Ho Er
6 4 10
Direct
0.0215 0.2683 0.0469
0.2324 0.7676 0.7500
0.2683 0.0215 0.5469
0.7317 0.9785 0.4531
0.7676 0.2324 0.2500
0.9785 0.7317 0.9531
0.2274 0.4671 0.4519
0.4671 0.2274 0.9519
0.5329 0.7726 0.0481
0.7726 0.5329 0.5481
0.0262 0.9738 0.7500
0.1440 0.3733 0.7670
0.2713 0.7287 0.2500
0.3733 0.1440 0.2670
0.4714 0.5286 0.2500
0.5286 0.4714 0.7500
0.6267 0.8560 0.7330
0.7287 0.2713 0.7500
0.8560 0.6267 0.2330
0.9738 0.0262 0.2500
```

Main lines, low angle first (10 to 80 degrees two-theta):
d 2.903, 30.8°, I = 100
d 2.745, 32.6°, I = 11
d 2.645, 33.9°, I = 24
d 2.320, 38.8°, I = 9
d 1.830, 49.8°, I = 10
d 1.572, 58.7°, I = 16
d 1.505, 61.6°, I = 11
d 1.393, 67.2°, I = 10

---

6.
Diffraction record for Tb3Ho2Er7. The powder X-ray diffraction pattern is calculated, not measured: it uses a structure optimized by DFT (GGA-PBE) and Cu Kα (λ = 1.5418 Å).

```
Tb3Ho2Er7
1.0
0.0000 4.9677 10.5225
3.5222 0.0000 10.5225
3.5222 4.9677 0.0000
Tb Ho Er
3 2 7
Direct
0.0000 0.0000 0.0000
0.3333 0.3333 0.6667
0.6667 0.6667 0.3333
0.1667 0.1667 0.8333
0.8333 0.8333 0.1667
0.0833 0.0833 0.4167
0.2500 0.2500 0.2500
0.4167 0.4167 0.0833
0.5000 0.5000 0.5000
0.5833 0.5833 0.9167
0.7500 0.7500 0.7500
0.9167 0.9167 0.5833
```

Main lines, low angle first (10 to 80 degrees two-theta):
d 2.869, 31.2°, I = 100
d 2.485, 36.1°, I = 51
d 1.761, 51.9°, I = 6
d 1.756, 52.1°, I = 30
d 1.500, 61.9°, I = 21
d 1.497, 62.0°, I = 21
d 1.437, 64.9°, I = 6
d 1.433, 65.1°, I = 6